Entry 1:
Diffraction record for MgZn2In2Pd5. The powder diffractogram is simulated, not measured: it uses a DFT-relaxed cell (PBE, Alexandria) and Cu Kα (weighted mean of Kα1 and Kα2).

Unit cell a=9.419 b=9.419 c=3.827 alpha=90.00 beta=90.00 gamma=90.00
Fractional coordinates of all 20 atoms:
Mg  0.000  0.000  0.000
Mg  0.500  0.500  0.000
Zn  0.126  0.374  0.000
Zn  0.374  0.874  0.000
Zn  0.626  0.126  0.000
Zn  0.874  0.626  0.000
In  0.171  0.671  0.000
In  0.329  0.171  0.000
In  0.671  0.829  0.000
In  0.829  0.329  0.000
Pd  0.000  0.500  0.500
Pd  0.088  0.194  0.500
Pd  0.194  0.912  0.500
Pd  0.306  0.412  0.500
Pd  0.412  0.694  0.500
Pd  0.500  0.000  0.500
Pd  0.588  0.306  0.500
Pd  0.694  0.588  0.500
Pd  0.806  0.088  0.500
Pd  0.912  0.806  0.500

Top 10 peaks for 10 to 80 degrees two-theta, low angle first:
2θ = 31.58°, d 2.833, I = 21.9; 2θ = 38.29°, d 2.351, I = 100.0; 2θ = 39.44°, d 2.284, I = 40.1; 2θ = 40.64°, d 2.220, I = 11.1; 2θ = 41.87°, d 2.158, I = 38.9; 2θ = 42.94°, d 2.106, I = 13.2; 2θ = 47.51°, d 1.914, I = 24.3; 2θ = 63.41°, d 1.467, I = 19.1; 2θ = 67.48°, d 1.388, I = 13.3; 2θ = 77.95°, d 1.226, I = 13.3

Entry 2:
Diffraction record for Cu2Te3As. The powder diffractogram is simulated, not measured: it uses a DFT-relaxed cell (PBE, Alexandria) and Cu Kα (weighted mean of Kα1 and Kα2).

Unit cell a=14.446 b=7.448 c=13.757 alpha=79.87 beta=30.50 gamma=69.63
Fractional coordinates of all 24 atoms:
Cu  0.000  0.000  0.000
Cu  0.103  0.412  0.067
Cu  0.183  0.832  0.147
Cu  0.250  0.250  0.250
Cu  0.412  0.103  0.418
Cu  0.496  0.496  0.504
Cu  0.746  0.746  0.754
Cu  0.832  0.183  0.838
Te  0.047  0.191  0.790
Te  0.138  0.627  0.872
Te  0.191  0.047  0.973
Te  0.277  0.460  0.059
Te  0.378  0.887  0.112
Te  0.460  0.277  0.203
Te  0.555  0.722  0.301
Te  0.627  0.138  0.363
Te  0.722  0.555  0.422
Te  0.828  0.949  0.528
Te  0.887  0.378  0.623
Te  0.949  0.828  0.695
As  0.348  0.670  0.315
As  0.583  0.935  0.580
As  0.670  0.348  0.667
As  0.935  0.583  0.902

Top 10 peaks for 10 to 80 degrees two-theta, low angle first:
2θ = 25.07°, d 3.552, I = 99.6; 2θ = 25.54°, d 3.488, I = 100.0; 2θ = 41.40°, d 2.181, I = 21.3; 2θ = 41.87°, d 2.157, I = 91.6; 2θ = 42.60°, d 2.122, I = 23.0; 2θ = 49.29°, d 1.849, I = 41.1; 2θ = 49.58°, d 1.839, I = 14.9; 2θ = 50.07°, d 1.822, I = 28.3; 2θ = 60.91°, d 1.521, I = 13.0; 2θ = 77.48°, d 1.232, I = 13.2

Entry 3:
Diffraction record for Cr2BiMoOsRh. The powder diffractogram is simulated, not measured: it uses a DFT-relaxed cell (PBE, Alexandria) and Cu Kα (weighted mean of Kα1 and Kα2).

Unit cell a=15.676 b=3.055 c=4.180 alpha=90.00 beta=105.12 gamma=90.00
Fractional coordinates of all 12 atoms:
Cr  0.000  0.000  0.000
Cr  0.113  0.500  0.106
Cr  0.500  0.500  0.000
Cr  0.613  0.000  0.106
Bi  0.291  0.500  0.292
Bi  0.791  0.000  0.292
Mo  0.138  0.000  0.634
Mo  0.638  0.500  0.634
Os  0.493  0.000  0.490
Os  0.993  0.500  0.490
Rh  0.363  0.000  0.862
Rh  0.863  0.500  0.862

Top 10 peaks for 10 to 80 degrees two-theta, low angle first:
2θ = 22.06°, d 4.029, I = 26.2; 2θ = 34.32°, d 2.613, I = 38.4; 2θ = 35.60°, d 2.522, I = 27.4; 2θ = 36.55°, d 2.458, I = 31.0; 2θ = 36.77°, d 2.445, I = 30.3; 2θ = 38.39°, d 2.345, I = 100.0; 2θ = 43.29°, d 2.090, I = 44.4; 2θ = 43.75°, d 2.069, I = 34.2; 2θ = 43.89°, d 2.063, I = 32.3; 2θ = 51.79°, d 1.765, I = 20.5

Entry 4:
Diffraction record for Pm2NdGaN4. The powder diffractogram is simulated, not measured: it uses a DFT-relaxed cell (PBE, Alexandria) and Cu Kα (weighted mean of Kα1 and Kα2).

Unit cell a=6.157 b=6.157 c=12.112 alpha=90.00 beta=90.00 gamma=146.93
Fractional coordinates of all 16 atoms:
Pm  0.131  0.869  0.544
Pm  0.131  0.869  0.956
Pm  0.869  0.131  0.044
Pm  0.869  0.131  0.456
Nd  0.392  0.608  0.750
Nd  0.608  0.392  0.250
Ga  0.337  0.663  0.250
Ga  0.663  0.337  0.750
N  0.062  0.938  0.750
N  0.230  0.770  0.129
N  0.230  0.770  0.371
N  0.500  0.500  0.000
N  0.500  0.500  0.500
N  0.770  0.230  0.629
N  0.770  0.230  0.871
N  0.938  0.062  0.250

Top 10 peaks for 10 to 80 degrees two-theta, low angle first:
2θ = 26.75°, d 3.332, I = 62.8; 2θ = 29.50°, d 3.028, I = 38.0; 2θ = 30.29°, d 2.951, I = 53.5; 2θ = 30.43°, d 2.938, I = 100.0; 2θ = 35.08°, d 2.558, I = 33.5; 2θ = 37.44°, d 2.402, I = 82.3; 2θ = 42.79°, d 2.113, I = 22.2; 2θ = 46.20°, d 1.965, I = 25.8; 2θ = 51.40°, d 1.778, I = 24.0; 2θ = 61.54°, d 1.507, I = 22.9